Entry 1:
Structure and computed powder X-ray diffraction pattern of Ba2CeInTe5 (a crystal structure in Alexandria, relaxed with PBE; Cu Kα).

Atomic structure:
abc: 10.604 10.604 14.248
angles: 90.00 90.00 154.50
Fractional coordinates of all 18 atoms:
1 Ba 0.118 0.882 0.500
2 Ba 0.127 0.873 0.135
3 Ba 0.873 0.127 0.635
4 Ba 0.882 0.118 0.000
5 Ce 0.208 0.792 0.836
6 Ce 0.792 0.208 0.336
7 In 0.443 0.557 0.258
8 In 0.557 0.443 0.758
9 Te 0.049 0.951 0.874
10 Te 0.292 0.708 0.484
11 Te 0.311 0.689 0.179
12 Te 0.357 0.643 0.820
13 Te 0.497 0.503 0.583
14 Te 0.503 0.497 0.083
15 Te 0.643 0.357 0.320
16 Te 0.689 0.311 0.679
17 Te 0.708 0.292 0.984
18 Te 0.951 0.049 0.374

Most intense lines, 15 to 90 degrees two-theta, low angle first:
d_spacing, I (rel.)
3.351, 56.8
3.291, 100.0
2.842, 43.7
2.340, 36.6
2.046, 23.5
1.919, 24.4



Entry 2:
Structure and computed powder X-ray diffraction pattern of K2BaCeS4 (a crystal structure in Alexandria, relaxed with PBE; Cu Kα).

Atomic structure:
abc: 8.831 8.831 8.831
angles: 121.61 118.77 89.69
Fractional coordinates of all 16 atoms:
1 K 0.000 0.000 0.000
2 K 0.500 0.000 0.000
3 K 0.500 0.000 0.500
4 K 0.500 0.500 0.500
5 Ba 0.000 0.500 0.500
6 Ba 0.500 0.500 0.000
7 Ce 0.000 0.000 0.500
8 Ce 0.000 0.500 0.000
9 S 0.204 0.749 0.456
10 S 0.207 0.251 0.956
11 S 0.216 0.221 0.504
12 S 0.216 0.712 0.996
13 S 0.784 0.288 0.004
14 S 0.784 0.779 0.496
15 S 0.793 0.749 0.044
16 S 0.796 0.251 0.544

Most intense lines, 15 to 90 degrees two-theta, low angle first:
d_spacing, I (rel.)
3.653, 35.1
3.549, 29.9
3.131, 48.2
3.111, 100.0
2.414, 17.7
2.207, 66.1



Entry 3:
Structure and computed powder X-ray diffraction pattern of BaLa2Ce (a crystal structure in Alexandria, relaxed with PBE; Cu Kα).

Atomic structure:
abc: 3.703 3.703 11.186
angles: 90.00 90.00 90.00
Fractional coordinates of all 4 atoms:
1 Ba 0.000 0.000 0.000
2 La 0.500 0.500 0.293
3 La 0.500 0.500 0.707
4 Ce 0.000 0.000 0.500

Most intense lines, 15 to 90 degrees two-theta, low angle first:
d_spacing, I (rel.)
3.087, 100.0
2.797, 11.9
2.618, 37.2
1.912, 22.3
1.851, 13.3
1.588, 27.7



Entry 4:
Structure and computed powder X-ray diffraction pattern of Ba2LaCeO6 (a crystal structure in Alexandria, relaxed with PBE; Cu Kα).

Atomic structure:
abc: 6.344 6.396 10.991
angles: 90.00 125.08 90.00
Fractional coordinates of all 20 atoms:
1 Ba 0.240 0.033 0.250
2 Ba 0.240 0.467 0.750
3 Ba 0.760 0.533 0.250
4 Ba 0.760 0.967 0.750
5 La 0.500 0.000 0.000
6 La 0.500 0.500 0.500
7 Ce 0.000 0.000 0.500
8 Ce 0.000 0.500 0.000
9 O 0.159 0.222 0.952
10 O 0.159 0.278 0.452
11 O 0.230 0.707 0.954
12 O 0.230 0.793 0.454
13 O 0.327 0.027 0.742
14 O 0.327 0.473 0.242
15 O 0.673 0.527 0.758
16 O 0.673 0.973 0.258
17 O 0.770 0.207 0.546
18 O 0.770 0.293 0.046
19 O 0.841 0.722 0.548
20 O 0.841 0.778 0.048

Most intense lines, 15 to 90 degrees two-theta, low angle first:
d_spacing, I (rel.)
3.198, 23.9
3.182, 100.0
3.172, 23.8
2.251, 39.2
1.843, 18.6
1.831, 17.3



Entry 5:
Structure and computed powder X-ray diffraction pattern of BaCeMg14 (a crystal structure in Alexandria, relaxed with PBE; Cu Kα).

Atomic structure:
abc: 10.701 6.512 6.512
angles: 64.62 90.00 90.00
Fractional coordinates of all 16 atoms:
1 Ba 0.000 0.000 0.000
2 Ce 0.000 0.503 0.503
3 Mg 0.000 0.002 0.499
4 Mg 0.000 0.499 0.002
5 Mg 0.249 0.263 0.263
6 Mg 0.249 0.751 0.751
7 Mg 0.275 0.262 0.755
8 Mg 0.275 0.755 0.262
9 Mg 0.500 0.074 0.580
10 Mg 0.500 0.088 0.088
11 Mg 0.500 0.580 0.074
12 Mg 0.500 0.585 0.585
13 Mg 0.725 0.262 0.755
14 Mg 0.725 0.755 0.262
15 Mg 0.751 0.263 0.263
16 Mg 0.751 0.751 0.751

Most intense lines, 15 to 90 degrees two-theta, low angle first:
d_spacing, I (rel.)
5.504, 21.6
5.351, 22.5
4.895, 31.0
2.837, 33.2
2.675, 30.2
2.578, 100.0



Entry 6:
Structure and computed powder X-ray diffraction pattern of Ba4Ce3NbN8 (a crystal structure in Alexandria, relaxed with PBE; Cu Kα).

Atomic structure:
abc: 7.592 7.592 7.592
angles: 56.61 56.61 56.61
Fractional coordinates of all 16 atoms:
1 Ba 0.000 0.000 0.000
2 Ba 0.000 0.500 0.500
3 Ba 0.500 0.000 0.500
4 Ba 0.500 0.500 0.000
5 Ce 0.000 0.000 0.500
6 Ce 0.000 0.500 0.000
7 Ce 0.500 0.000 0.000
8 Nb 0.500 0.500 0.500
9 N 0.228 0.228 0.228
10 N 0.254 0.715 0.715
11 N 0.285 0.285 0.746
12 N 0.285 0.746 0.285
13 N 0.715 0.254 0.715
14 N 0.715 0.715 0.254
15 N 0.746 0.285 0.285
16 N 0.772 0.772 0.772

Most intense lines, 15 to 90 degrees two-theta, low angle first:
d_spacing, I (rel.)
3.176, 41.1
2.963, 96.4
2.609, 100.0
1.893, 35.1
1.800, 32.5
1.566, 31.7



Entry 7:
Structure and computed powder X-ray diffraction pattern of BaCe2RuN4 (a crystal structure in Alexandria, relaxed with PBE; Cu Kα).

Atomic structure:
abc: 6.351 6.351 12.333
angles: 90.00 90.00 146.81
Fractional coordinates of all 16 atoms:
1 Ba 0.083 0.917 0.750
2 Ba 0.917 0.083 0.250
3 Ce 0.366 0.634 0.549
4 Ce 0.366 0.634 0.951
5 Ce 0.634 0.366 0.049
6 Ce 0.634 0.366 0.451
7 Ru 0.183 0.817 0.250
8 Ru 0.817 0.183 0.750
9 N 0.000 0.000 0.000
10 N 0.000 0.000 0.500
11 N 0.249 0.751 0.104
12 N 0.249 0.751 0.396
13 N 0.394 0.606 0.750
14 N 0.606 0.394 0.250
15 N 0.751 0.249 0.604
16 N 0.751 0.249 0.896

Most intense lines, 15 to 90 degrees two-theta, low angle first:
d_spacing, I (rel.)
3.407, 49.1
3.028, 100.0
2.641, 49.6
2.476, 60.0
1.822, 40.5
1.814, 52.9



Entry 8:
Structure and computed powder X-ray diffraction pattern of Ba4Ce3O10 (a crystal structure in Alexandria, relaxed with PBE; Cu Kα).

Atomic structure:
abc: 16.016 16.016 16.016
angles: 163.92 163.92 22.82
Fractional coordinates of all 17 atoms:
1 Ba 0.070 0.070 0.000
2 Ba 0.204 0.204 0.000
3 Ba 0.796 0.796 0.000
4 Ba 0.930 0.930 0.000
5 Ce 0.357 0.357 0.000
6 Ce 0.500 0.500 0.000
7 Ce 0.643 0.643 0.000
8 O 0.000 0.500 0.500
9 O 0.141 0.641 0.500
10 O 0.286 0.286 0.000
11 O 0.359 0.859 0.500
12 O 0.429 0.429 0.000
13 O 0.500 0.000 0.500
14 O 0.571 0.571 0.000
15 O 0.641 0.141 0.500
16 O 0.714 0.714 0.000
17 O 0.859 0.359 0.500

Most intense lines, 15 to 90 degrees two-theta, low angle first:
d_spacing, I (rel.)
3.169, 100.0
2.241, 29.0
1.830, 38.8
1.585, 17.5
1.417, 16.2
1.198, 17.5



Entry 9:
Structure and computed powder X-ray diffraction pattern of Ba4Ce2O7 (a crystal structure in Alexandria, relaxed with PBE; Cu Kα).

Atomic structure:
abc: 7.621 7.621 12.925
angles: 90.00 90.00 48.92
Fractional coordinates of all 26 atoms:
1 Ba 0.089 0.608 0.893
2 Ba 0.108 0.589 0.393
3 Ba 0.392 0.911 0.893
4 Ba 0.411 0.892 0.393
5 Ba 0.589 0.108 0.607
6 Ba 0.608 0.089 0.107
7 Ba 0.892 0.411 0.607
8 Ba 0.911 0.392 0.107
9 Ce 0.249 0.751 0.135
10 Ce 0.251 0.749 0.635
11 Ce 0.749 0.251 0.365
12 Ce 0.751 0.249 0.865
13 O 0.000 0.000 0.500
14 O 0.031 0.649 0.099
15 O 0.074 0.926 0.783
16 O 0.149 0.531 0.599
17 O 0.351 0.969 0.099
18 O 0.426 0.574 0.283
19 O 0.469 0.851 0.599
20 O 0.500 0.500 0.000
21 O 0.531 0.149 0.401
22 O 0.574 0.426 0.717
23 O 0.649 0.031 0.901
24 O 0.851 0.469 0.401
25 O 0.926 0.074 0.217
26 O 0.969 0.351 0.901

Most intense lines, 15 to 90 degrees two-theta, low angle first:
d_spacing, I (rel.)
3.231, 100.0
3.155, 24.7
2.257, 19.0
1.865, 21.7
1.836, 17.3
1.615, 12.5



Entry 10:
Structure and computed powder X-ray diffraction pattern of Ba2CeO4 (a crystal structure in Alexandria, relaxed with PBE; Cu Kα).

Atomic structure:
abc: 6.507 11.008 3.728
angles: 90.00 90.00 90.00
Fractional coordinates of all 14 atoms:
1 Ba 0.061 0.177 0.000
2 Ba 0.439 0.677 0.000
3 Ba 0.561 0.323 0.000
4 Ba 0.939 0.823 0.000
5 Ce 0.000 0.500 0.500
6 Ce 0.500 0.000 0.500
7 O 0.134 0.683 0.500
8 O 0.212 0.457 0.000
9 O 0.288 0.957 0.000
10 O 0.366 0.183 0.500
11 O 0.634 0.817 0.500
12 O 0.712 0.043 0.000
13 O 0.788 0.543 0.000
14 O 0.866 0.317 0.500

Most intense lines, 15 to 90 degrees two-theta, low angle first:
d_spacing, I (rel.)
3.254, 34.3
3.196, 100.0
3.104, 87.1
3.087, 42.5
2.239, 45.2
1.820, 35.9



Entry 11:
Structure and computed powder X-ray diffraction pattern of Ba2CePaO6 (a crystal structure in Alexandria, relaxed with PBE; Cu Kα).

Atomic structure:
abc: 4.509 4.509 9.005
angles: 90.00 90.00 90.00
Fractional coordinates of all 10 atoms:
1 Ba 0.000 0.000 0.236
2 Ba 0.000 0.000 0.764
3 Ce 0.500 0.500 0.000
4 Pa 0.500 0.500 0.500
5 O 0.000 0.500 0.000
6 O 0.000 0.500 0.500
7 O 0.500 0.000 0.000
8 O 0.500 0.000 0.500
9 O 0.500 0.500 0.261
10 O 0.500 0.500 0.739

Most intense lines, 15 to 90 degrees two-theta, low angle first:
d_spacing, I (rel.)
3.187, 100.0
2.253, 28.6
1.840, 41.8
1.593, 18.4
1.425, 18.3
1.204, 21.1



Entry 12:
Structure and computed powder X-ray diffraction pattern of Ba3CePd2O9 (a crystal structure in Alexandria, relaxed with PBE; Cu Kα).

Atomic structure:
abc: 5.917 5.917 7.348
angles: 90.00 90.00 120.00
Fractional coordinates of all 15 atoms:
1 Ba 0.000 0.000 0.000
2 Ba 0.333 0.667 0.696
3 Ba 0.667 0.333 0.304
4 Ce 0.000 0.000 0.500
5 Pd 0.333 0.667 0.165
6 Pd 0.667 0.333 0.835
7 O 0.000 0.500 0.000
8 O 0.173 0.347 0.324
9 O 0.173 0.827 0.324
10 O 0.347 0.173 0.676
11 O 0.500 0.000 0.000
12 O 0.500 0.500 0.000
13 O 0.653 0.827 0.324
14 O 0.827 0.173 0.676
15 O 0.827 0.653 0.676

Most intense lines, 15 to 90 degrees two-theta, low angle first:
d_spacing, I (rel.)
2.986, 100.0
2.959, 99.6
2.102, 59.4
1.713, 39.2
1.708, 19.9
1.479, 18.5